Entry 1:
The following is a simulated X-ray diffraction stick pattern of Cu3Ag5. It was derived from a cell relaxed with PBE, using Cu Kα X-rays.
No peak broadening, texture or thermal motion is included.

The 10 most intense peaks (2θ = 10–80°), in order of falling intensity:
| Position (°2θ) | I/Imax |
| --- | --- |
| 39.0 | 100 |
| 45.4 | 43 |
| 39.9 | 31 |
| 46.0 | 20 |
| 79.5 | 15 |
| 66.0 | 12 |
| 67.2 | 12 |
| 79.0 | 8 |
| 65.5 | 7 |
| 66.8 | 6 |

Structure:
a b c (Å): 4.8180 4.8180 9.7895
angles (deg): 100.36 100.36 34.40
Positions (direct):
Cu 0.0000 0.0000 0.0000
Cu 0.4973 0.4973 0.2365
Cu 0.5027 0.5027 0.7635
Ag 0.0000 0.0000 0.5000
Ag 0.2426 0.2426 0.3679
Ag 0.2506 0.2506 0.8770
Ag 0.7494 0.7494 0.1230
Ag 0.7574 0.7574 0.6321

Entry 2:
The following is a simulated X-ray diffraction stick pattern of Cu3Ag2. It was derived from a cell relaxed with PBE, using Cu Kα X-rays.
No peak broadening, texture or thermal motion is included.

The 10 most intense peaks (2θ = 10–80°), in order of falling intensity:
| Position (°2θ) | I/Imax |
| --- | --- |
| 41.5 | 100 |
| 40.3 | 90 |
| 44.5 | 52 |
| 35.7 | 28 |
| 53.2 | 23 |
| 71.8 | 23 |
| 66.5 | 16 |
| 72.2 | 12 |
| 45.4 | 11 |
| 49.2 | 8 |

Structure:
a b c (Å): 2.8125 3.4421 14.7402
angles (deg): 90.00 90.00 90.00
Positions (direct):
Cu 0.0000 0.0000 0.0000
Cu 0.0000 0.0000 0.1710
Cu 0.0000 0.0000 0.3419
Cu 0.0000 0.0000 0.7948
Cu 0.5000 0.5000 0.0847
Cu 0.5000 0.5000 0.2575
Ag 0.0000 0.0000 0.5692
Ag 0.5000 0.5000 0.4457
Ag 0.5000 0.5000 0.6925
Ag 0.5000 0.5000 0.8965